Structure and theoretical powder XRD pattern of CsCaH2CF (the GGA-PBE geometry in Alexandria; a wavelength of 1.5418 Å).
No peak broadening, texture or thermal motion is included.

Structure:
```
data_CsCaH2CF
_chemical_formula_sum 'Cs2 Ca2 H4 C2 F2'
_space_group_name_H-M_alt 'P 1'
_space_group_IT_number 1
_space_group_name_Hall 'P 1'
_cell_length_a 6.6343
_cell_length_b 4.6993
_cell_length_c 7.3569
_cell_angle_alpha 90.00
_cell_angle_beta 94.53
_cell_angle_gamma 90.00
loop_
_atom_site_label
_atom_site_type_symbol
_atom_site_fract_x
_atom_site_fract_y
_atom_site_fract_z
_atom_site_occupancy
Cs1 Cs 0.0000 0.0000 0.0000 1
Cs2 Cs 0.5000 0.5000 0.0000 1
Ca1 Ca 0.3762 0.0000 0.5081 1
Ca2 Ca 0.8762 0.5000 0.5081 1
H1 H 0.1404 0.5000 0.2623 1
H2 H 0.3839 0.5000 0.3754 1
H3 H 0.6404 0.0000 0.2623 1
H4 H 0.8839 0.0000 0.3754 1
C1 C 0.2200 0.5000 0.4033 1
C2 C 0.7200 0.0000 0.4033 1
F1 F 0.3689 0.0000 0.8081 1
F2 F 0.8689 0.5000 0.8081 1
```

The 6 most intense peaks (15° ≤ 2θ ≤ 90°), low angle first:
d [Å], 2θ/deg, I_rel
3.831, 23.22, 34
3.667, 24.27, 51
3.461, 25.74, 61
3.333, 26.74, 100
3.307, 26.96, 26
3.108, 28.72, 35

---

Structure and theoretical powder XRD pattern of Tb4DyErSc2 (the GGA-PBE geometry in Alexandria; a wavelength of 1.5418 Å).
No peak broadening, texture or thermal motion is included.

Structure:
```
data_Tb4DyErSc2
_chemical_formula_sum 'Tb8 Dy2 Er2 Sc4'
_space_group_name_H-M_alt 'P 1'
_space_group_IT_number 1
_space_group_name_Hall 'P 1'
_cell_length_a 7.0020
_cell_length_b 7.0033
_cell_length_c 11.2369
_cell_angle_alpha 89.99
_cell_angle_beta 89.99
_cell_angle_gamma 60.02
loop_
_atom_site_label
_atom_site_type_symbol
_atom_site_fract_x
_atom_site_fract_y
_atom_site_fract_z
_atom_site_occupancy
Tb1 Tb 0.1652 0.1687 0.2529 1
Tb2 Tb 0.1669 0.6663 0.2563 1
Tb3 Tb 0.3308 0.3354 0.7468 1
Tb4 Tb 0.3319 0.8323 0.7446 1
Tb5 Tb 0.6681 0.1677 0.2554 1
Tb6 Tb 0.6692 0.6646 0.2532 1
Tb7 Tb 0.8331 0.3337 0.7437 1
Tb8 Tb 0.8348 0.8313 0.7471 1
Dy1 Dy 0.5000 0.0000 0.0000 1
Dy2 Dy 0.5000 0.5000 0.0000 1
Er1 Er 0.0000 0.0000 0.0000 1
Er2 Er 0.5000 0.0000 0.5000 1
Sc1 Sc 0.0000 0.0000 0.5000 1
Sc2 Sc 0.0000 0.5000 0.0000 1
Sc3 Sc 0.0000 0.5000 0.5000 1
Sc4 Sc 0.5000 0.5000 0.5000 1
```

The 6 most intense peaks (15° ≤ 2θ ≤ 90°), low angle first:
d [Å], 2θ/deg, I_rel
2.928, 30.53, 75
2.809, 31.86, 39
2.669, 33.58, 100
2.357, 38.18, 40
1.751, 52.25, 29
1.486, 62.51, 34

---

Structure and theoretical powder XRD pattern of La5Bi2 (the GGA-PBE geometry in Alexandria; a wavelength of 1.5418 Å).
No peak broadening, texture or thermal motion is included.

Structure:
```
data_La5Bi2
_chemical_formula_sum 'La10 Bi4'
_space_group_name_H-M_alt 'P 1'
_space_group_IT_number 1
_space_group_name_Hall 'P 1'
_cell_length_a 8.9096
_cell_length_b 8.9096
_cell_length_c 9.2057
_cell_angle_alpha 94.30
_cell_angle_beta 94.30
_cell_angle_gamma 41.74
loop_
_atom_site_label
_atom_site_type_symbol
_atom_site_fract_x
_atom_site_fract_y
_atom_site_fract_z
_atom_site_occupancy
La1 La 0.1259 0.3231 0.3123 1
La2 La 0.2076 0.5636 0.0529 1
La3 La 0.2166 0.7834 0.7500 1
La4 La 0.3231 0.1259 0.8123 1
La5 La 0.4364 0.7924 0.4471 1
La6 La 0.5636 0.2076 0.5529 1
La7 La 0.6769 0.8741 0.1877 1
La8 La 0.7834 0.2166 0.2500 1
La9 La 0.7924 0.4364 0.9471 1
La10 La 0.8741 0.6769 0.6877 1
Bi1 Bi 0.1005 0.7142 0.4116 1
Bi2 Bi 0.2858 0.8995 0.0884 1
Bi3 Bi 0.7142 0.1005 0.9116 1
Bi4 Bi 0.8995 0.2858 0.5884 1
```

The 6 most intense peaks (15° ≤ 2θ ≤ 90°), low angle first:
d [Å], 2θ/deg, I_rel
3.179, 28.06, 53
2.962, 30.17, 85
2.861, 31.27, 70
2.798, 31.99, 54
2.750, 32.56, 100
2.460, 36.53, 31

---

Structure and theoretical powder XRD pattern of Zn2Cd2Ag7Au (the GGA-PBE geometry in Alexandria; a wavelength of 1.5418 Å).
No peak broadening, texture or thermal motion is included.

Structure:
```
data_Zn2Cd2Ag7Au
_chemical_formula_sum 'Zn2 Cd2 Ag7 Au1'
_space_group_name_H-M_alt 'P 1'
_space_group_IT_number 1
_space_group_name_Hall 'P 1'
_cell_length_a 9.4979
_cell_length_b 9.4979
_cell_length_c 9.4979
_cell_angle_alpha 151.03
_cell_angle_beta 43.79
_cell_angle_gamma 147.90
loop_
_atom_site_label
_atom_site_type_symbol
_atom_site_fract_x
_atom_site_fract_y
_atom_site_fract_z
_atom_site_occupancy
Zn1 Zn 0.2386 0.0000 0.2386 1
Zn2 Zn 0.7614 0.0000 0.7614 1
Cd1 Cd 0.3102 0.4786 0.8317 1
Cd2 Cd 0.6469 0.4786 0.1683 1
Ag1 Ag 0.0402 0.9580 0.0822 1
Ag2 Ag 0.2795 0.6145 0.6650 1
Ag3 Ag 0.4563 0.4563 0.0000 1
Ag4 Ag 0.5422 0.1260 0.4162 1
Ag5 Ag 0.7098 0.1260 0.5838 1
Ag6 Ag 0.8757 0.9580 0.9178 1
Ag7 Ag 0.9495 0.6145 0.3350 1
Au1 Au 0.1274 0.6274 0.5000 1
```

The 6 most intense peaks (15° ≤ 2θ ≤ 90°), low angle first:
d [Å], 2θ/deg, I_rel
2.927, 30.54, 15
2.626, 34.14, 17
2.376, 37.87, 38
2.279, 39.54, 45
2.256, 39.96, 100
1.348, 69.79, 18

---

Structure and theoretical powder XRD pattern of Li3Mg3Zn5 (the GGA-PBE geometry in Alexandria; a wavelength of 1.5418 Å).
No peak broadening, texture or thermal motion is included.

Structure:
```
data_Li3Mg3Zn5
_chemical_formula_sum 'Li3 Mg3 Zn5'
_space_group_name_H-M_alt 'P 1'
_space_group_IT_number 1
_space_group_name_Hall 'P 1'
_cell_length_a 6.6556
_cell_length_b 6.6556
_cell_length_c 5.1584
_cell_angle_alpha 100.91
_cell_angle_beta 100.91
_cell_angle_gamma 113.40
loop_
_atom_site_label
_atom_site_type_symbol
_atom_site_fract_x
_atom_site_fract_y
_atom_site_fract_z
_atom_site_occupancy
Li1 Li 0.0000 0.0000 0.0000 1
Li2 Li 0.1997 0.9578 0.5363 1
Li3 Li 0.9578 0.1997 0.5363 1
Mg1 Mg 0.0539 0.5046 0.1498 1
Mg2 Mg 0.5046 0.0539 0.1498 1
Mg3 Mg 0.5468 0.5468 0.0331 1
Zn1 Zn 0.2228 0.6428 0.7354 1
Zn2 Zn 0.3612 0.3612 0.4451 1
Zn3 Zn 0.5853 0.8194 0.5651 1
Zn4 Zn 0.6428 0.2228 0.7354 1
Zn5 Zn 0.8194 0.5853 0.5651 1
```

The 6 most intense peaks (15° ≤ 2θ ≤ 90°), low angle first:
d [Å], 2θ/deg, I_rel
5.839, 15.17, 100
4.842, 18.32, 85
2.521, 35.62, 50
2.228, 40.49, 39
2.155, 41.93, 39
2.117, 42.72, 53

---

Structure and theoretical powder XRD pattern of Rb2AuSF6 (the GGA-PBE geometry in Alexandria; a wavelength of 1.5418 Å).
No peak broadening, texture or thermal motion is included.

Structure:
```
data_Rb2AuSF6
_chemical_formula_sum 'Rb2 Au1 S1 F6'
_space_group_name_H-M_alt 'P 1'
_space_group_IT_number 1
_space_group_name_Hall 'P 1'
_cell_length_a 6.6421
_cell_length_b 6.6421
_cell_length_c 6.6421
_cell_angle_alpha 120.42
_cell_angle_beta 120.42
_cell_angle_gamma 89.27
loop_
_atom_site_label
_atom_site_type_symbol
_atom_site_fract_x
_atom_site_fract_y
_atom_site_fract_z
_atom_site_occupancy
Rb1 Rb 0.2500 0.7500 0.5000 1
Rb2 Rb 0.7500 0.2500 0.5000 1
Au1 Au 0.0000 0.0000 0.0000 1
S1 S 0.5000 0.5000 0.0000 1
F1 F 0.2151 0.2151 0.0000 1
F2 F 0.3037 0.3037 0.6075 1
F3 F 0.3037 0.6963 0.0000 1
F4 F 0.6963 0.3037 0.0000 1
F5 F 0.6963 0.6963 0.3925 1
F6 F 0.7849 0.7849 0.0000 1
```

The 6 most intense peaks (15° ≤ 2θ ≤ 90°), low angle first:
d [Å], 2θ/deg, I_rel
5.411, 16.38, 43
3.321, 26.85, 100
3.300, 27.02, 51
2.817, 31.76, 34
2.333, 38.59, 32
1.909, 47.63, 36

---

Structure and theoretical powder XRD pattern of MgGa2O4 (the GGA-PBE geometry in Alexandria; a wavelength of 1.5418 Å).
No peak broadening, texture or thermal motion is included.

Structure:
```
data_MgGa2O4
_chemical_formula_sum 'Mg6 Ga12 O24'
_space_group_name_H-M_alt 'P 1'
_space_group_IT_number 1
_space_group_name_Hall 'P 1'
_cell_length_a 5.9306
_cell_length_b 5.9306
_cell_length_c 14.4936
_cell_angle_alpha 90.09
_cell_angle_beta 90.09
_cell_angle_gamma 60.56
loop_
_atom_site_label
_atom_site_type_symbol
_atom_site_fract_x
_atom_site_fract_y
_atom_site_fract_z
_atom_site_occupancy
Mg1 Mg 0.0000 0.0000 0.0000 1
Mg2 Mg 0.0058 0.0058 0.6246 1
Mg3 Mg 0.1669 0.1669 0.1662 1
Mg4 Mg 0.3331 0.3331 0.3329 1
Mg5 Mg 0.5012 0.5012 0.4980 1
Mg6 Mg 0.8346 0.8346 0.8342 1
Ga1 Ga 0.1671 0.6667 0.1664 1
Ga2 Ga 0.3266 0.3266 0.7069 1
Ga3 Ga 0.3293 0.8358 0.8345 1
Ga4 Ga 0.3408 0.3408 0.9571 1
Ga5 Ga 0.5021 0.9958 0.4983 1
Ga6 Ga 0.6600 0.6600 0.0446 1
Ga7 Ga 0.6667 0.1671 0.1664 1
Ga8 Ga 0.6668 0.6668 0.6614 1
Ga9 Ga 0.6736 0.6736 0.2861 1
Ga10 Ga 0.8358 0.3293 0.8345 1
Ga11 Ga 0.9932 0.9932 0.3776 1
Ga12 Ga 0.9958 0.5021 0.4983 1
O1 O 0.0071 0.0071 0.7629 1
O2 O 0.0184 0.4988 0.2449 1
O3 O 0.1644 0.1644 0.9133 1
O4 O 0.1671 0.6498 0.4203 1
O5 O 0.1667 0.6812 0.9133 1
O6 O 0.1711 0.1711 0.4209 1
O7 O 0.3161 0.8347 0.0868 1
O8 O 0.3301 0.3301 0.5766 1
O9 O 0.3377 0.3377 0.0889 1
O10 O 0.3660 0.8260 0.5793 1
O11 O 0.4948 0.4948 0.2448 1
O12 O 0.4988 0.0184 0.2449 1
O13 O 0.5065 0.9775 0.7503 1
O14 O 0.5078 0.5078 0.7506 1
O15 O 0.6498 0.1671 0.4203 1
O16 O 0.6620 0.6620 0.9102 1
O17 O 0.6700 0.6700 0.4172 1
O18 O 0.6812 0.1667 0.9133 1
O19 O 0.8215 0.8215 0.5781 1
O20 O 0.8260 0.3660 0.5793 1
O21 O 0.8347 0.3161 0.0868 1
O22 O 0.8383 0.8383 0.0869 1
O23 O 0.9775 0.5065 0.7503 1
O24 O 0.9962 0.9962 0.2445 1
```

The 6 most intense peaks (15° ≤ 2θ ≤ 90°), low angle first:
d [Å], 2θ/deg, I_rel
2.966, 30.13, 41
2.955, 30.24, 26
2.542, 35.30, 83
2.525, 35.55, 100
1.614, 57.05, 24
1.483, 62.64, 53

---

Structure and theoretical powder XRD pattern of CdRu2O8 (the GGA-PBE geometry in Alexandria; a wavelength of 1.5418 Å).
No peak broadening, texture or thermal motion is included.

Structure:
```
data_CdRu2O8
_chemical_formula_sum 'Cd1 Ru2 O8'
_space_group_name_H-M_alt 'P 1'
_space_group_IT_number 1
_space_group_name_Hall 'P 1'
_cell_length_a 6.2386
_cell_length_b 6.2386
_cell_length_c 5.7197
_cell_angle_alpha 104.12
_cell_angle_beta 104.12
_cell_angle_gamma 59.88
loop_
_atom_site_label
_atom_site_type_symbol
_atom_site_fract_x
_atom_site_fract_y
_atom_site_fract_z
_atom_site_occupancy
Cd1 Cd 0.0000 0.0000 0.0000 1
Ru1 Ru 0.3083 0.3083 0.8349 1
Ru2 Ru 0.6917 0.6917 0.1651 1
O1 O 0.1375 0.6094 0.7495 1
O2 O 0.1392 0.1392 0.7517 1
O3 O 0.3562 0.3562 0.1513 1
O4 O 0.3906 0.8625 0.2505 1
O5 O 0.6094 0.1375 0.7495 1
O6 O 0.6438 0.6438 0.8487 1
O7 O 0.8608 0.8608 0.2483 1
O8 O 0.8625 0.3906 0.2505 1
```

The 6 most intense peaks (15° ≤ 2θ ≤ 90°), low angle first:
d [Å], 2θ/deg, I_rel
5.488, 16.15, 100
3.577, 24.89, 70
3.114, 28.67, 44
3.023, 29.55, 73
2.976, 30.03, 67
2.708, 33.08, 34

---

Structure and theoretical powder XRD pattern of K4Cr3InCl12 (the GGA-PBE geometry in Alexandria; a wavelength of 1.5418 Å).
No peak broadening, texture or thermal motion is included.

Structure:
```
data_K4Cr3InCl12
_chemical_formula_sum 'K4 Cr3 In1 Cl12'
_space_group_name_H-M_alt 'P 1'
_space_group_IT_number 1
_space_group_name_Hall 'P 1'
_cell_length_a 8.8798
_cell_length_b 8.8798
_cell_length_c 8.8798
_cell_angle_alpha 109.47
_cell_angle_beta 109.47
_cell_angle_gamma 109.47
loop_
_atom_site_label
_atom_site_type_symbol
_atom_site_fract_x
_atom_site_fract_y
_atom_site_fract_z
_atom_site_occupancy
K1 K 0.0000 0.0000 0.5000 1
K2 K 0.0000 0.5000 0.0000 1
K3 K 0.5000 0.0000 0.0000 1
K4 K 0.5000 0.5000 0.5000 1
Cr1 Cr 0.0000 0.5000 0.5000 1
Cr2 Cr 0.5000 0.0000 0.5000 1
Cr3 Cr 0.5000 0.5000 0.0000 1
In1 In 0.0000 0.0000 0.0000 1
Cl1 Cl 0.0000 0.2733 0.2733 1
Cl2 Cl 0.0000 0.7267 0.7267 1
Cl3 Cl 0.2500 0.5000 0.7500 1
Cl4 Cl 0.2500 0.7500 0.5000 1
Cl5 Cl 0.2733 0.0000 0.2733 1
Cl6 Cl 0.2733 0.2733 0.0000 1
Cl7 Cl 0.5000 0.2500 0.7500 1
Cl8 Cl 0.5000 0.7500 0.2500 1
Cl9 Cl 0.7267 0.0000 0.7267 1
Cl10 Cl 0.7267 0.7267 0.0000 1
Cl11 Cl 0.7500 0.2500 0.5000 1
Cl12 Cl 0.7500 0.5000 0.2500 1
```

The 6 most intense peaks (15° ≤ 2θ ≤ 90°), low angle first:
d [Å], 2θ/deg, I_rel
5.127, 17.30, 59
3.625, 24.56, 65
2.960, 30.19, 27
2.563, 35.00, 100
2.093, 43.23, 25
1.813, 50.34, 61

---

Structure and theoretical powder XRD pattern of SrTmTe3Au (the GGA-PBE geometry in Alexandria; a wavelength of 1.5418 Å).
No peak broadening, texture or thermal motion is included.

Structure:
```
data_SrTmTe3Au
_chemical_formula_sum 'Sr2 Tm2 Te6 Au2'
_space_group_name_H-M_alt 'P 1'
_space_group_IT_number 1
_space_group_name_Hall 'P 1'
_cell_length_a 8.5789
_cell_length_b 4.3608
_cell_length_c 10.3064
_cell_angle_alpha 90.00
_cell_angle_beta 104.21
_cell_angle_gamma 90.00
loop_
_atom_site_label
_atom_site_type_symbol
_atom_site_fract_x
_atom_site_fract_y
_atom_site_fract_z
_atom_site_occupancy
Sr1 Sr 0.2099 0.2500 0.2767 1
Sr2 Sr 0.7901 0.7500 0.7233 1
Tm1 Tm 0.3177 0.7500 0.8311 1
Tm2 Tm 0.6823 0.2500 0.1689 1
Te1 Te 0.0800 0.2500 0.8619 1
Te2 Te 0.2773 0.7500 0.5322 1
Te3 Te 0.4255 0.7500 0.1430 1
Te4 Te 0.5745 0.2500 0.8570 1
Te5 Te 0.7227 0.2500 0.4678 1
Te6 Te 0.9200 0.7500 0.1381 1
Au1 Au 0.0875 0.2500 0.5927 1
Au2 Au 0.9125 0.7500 0.4073 1
```

The 6 most intense peaks (15° ≤ 2θ ≤ 90°), low angle first:
d [Å], 2θ/deg, I_rel
3.330, 26.77, 31
3.034, 29.44, 36
3.009, 29.69, 100
2.678, 33.47, 55
2.180, 41.41, 41
2.115, 42.74, 34

---

Structure and theoretical powder XRD pattern of Dy7InAg4 (the GGA-PBE geometry in Alexandria; a wavelength of 1.5418 Å).
No peak broadening, texture or thermal motion is included.

Structure:
```
data_Dy7InAg4
_chemical_formula_sum 'Dy7 In1 Ag4'
_space_group_name_H-M_alt 'P 1'
_space_group_IT_number 1
_space_group_name_Hall 'P 1'
_cell_length_a 7.7713
_cell_length_b 7.7713
_cell_length_c 9.0164
_cell_angle_alpha 117.17
_cell_angle_beta 117.17
_cell_angle_gamma 43.01
loop_
_atom_site_label
_atom_site_type_symbol
_atom_site_fract_x
_atom_site_fract_y
_atom_site_fract_z
_atom_site_occupancy
Dy1 Dy 0.0000 0.0000 0.0000 1
Dy2 Dy 0.2155 0.2155 0.6724 1
Dy3 Dy 0.3228 0.3228 0.1197 1
Dy4 Dy 0.4234 0.4234 0.5984 1
Dy5 Dy 0.5766 0.5766 0.4016 1
Dy6 Dy 0.6772 0.6772 0.8803 1
Dy7 Dy 0.7845 0.7845 0.3276 1
In1 In 0.5000 0.5000 0.0000 1
Ag1 Ag 0.0199 0.0199 0.6815 1
Ag2 Ag 0.1935 0.1935 0.3292 1
Ag3 Ag 0.8065 0.8065 0.6708 1
Ag4 Ag 0.9801 0.9801 0.3185 1
```

The 6 most intense peaks (15° ≤ 2θ ≤ 90°), low angle first:
d [Å], 2θ/deg, I_rel
2.866, 31.21, 47
2.849, 31.40, 100
2.799, 31.97, 54
2.635, 34.03, 28
2.541, 35.33, 74
1.997, 45.42, 41

---

Structure and theoretical powder XRD pattern of LiNb2PSe (the GGA-PBE geometry in Alexandria; a wavelength of 1.5418 Å).
No peak broadening, texture or thermal motion is included.

Structure:
```
data_LiNb2PSe
_chemical_formula_sum 'Li1 Nb2 P1 Se1'
_space_group_name_H-M_alt 'P 1'
_space_group_IT_number 1
_space_group_name_Hall 'P 1'
_cell_length_a 4.7352
_cell_length_b 4.7352
_cell_length_c 4.1126
_cell_angle_alpha 90.00
_cell_angle_beta 90.00
_cell_angle_gamma 90.00
loop_
_atom_site_label
_atom_site_type_symbol
_atom_site_fract_x
_atom_site_fract_y
_atom_site_fract_z
_atom_site_occupancy
Li1 Li 0.0000 0.0000 0.0000 1
Nb1 Nb 0.0000 0.5000 0.5000 1
Nb2 Nb 0.5000 0.0000 0.5000 1
P1 P 0.0000 0.0000 0.5000 1
Se1 Se 0.5000 0.5000 0.0000 1
```

The 6 most intense peaks (15° ≤ 2θ ≤ 90°), low angle first:
d [Å], 2θ/deg, I_rel
4.113, 21.61, 27
3.105, 28.75, 31
2.597, 34.54, 100
2.368, 38.01, 60
1.552, 59.56, 37
1.407, 66.45, 29